Theoretical powder diffractogram of Li8NbFe3O12 for CuKα, from a GGA+U-relaxed structure.
Kinematic intensities with the Lorentz-polarization factor, no thermal factor.

Crystal structure
```
data_Li8NbFe3O12
_cell_length_a 5.016
_cell_length_b 5.666
_cell_length_c 7.591
_cell_angle_alpha 79.82
_cell_angle_beta 89.25
_cell_angle_gamma 89.73
_symmetry_space_group_name_H-M 'P -1'
_symmetry_Int_Tables_number 2
loop_
_symmetry_equiv_pos_as_xyz
'x,y,z'
'-x,-y,-z'
loop_
_atom_site_label
_atom_site_type_symbol
_atom_site_fract_x
_atom_site_fract_y
_atom_site_fract_z
Li1 Li 0.001 0.356 0.182
Li2 Li 0.003 0.353 0.663
Li3 Li 0.496 0.839 0.181
Li4 Li 0.496 0.848 0.671
Nb1 Nb 0.000 0.000 0.000
Fe1 Fe 0.000 0.000 0.500
Fe2 Fe 0.500 0.500 0.000
Fe3 Fe 0.500 0.500 0.500
O1 O 0.145 0.000 0.750
O2 O 0.173 0.676 0.073
O3 O 0.175 0.310 0.426
O4 O 0.321 0.814 0.428
O5 O 0.323 0.173 0.070
O6 O 0.359 0.497 0.740
```

Most intense lines, 2θ from 10° to 90°, in order of rising 2θ:
| 2theta | I_rel | h k l |
| --- | --- | --- |
| 23.85 | 100 | 1 -1 0 |
| 31.65 | 14 | 1 1 2 |
| 32.07 | 25 | -1 1 2 |
| 35.83 | 15 | 2 0 0 |
| 40.63 | 10 | 1 -2 1 |
| 43.77 | 8 | 2 0 -2 |
| 48.77 | 11 | 2 2 0 |
| 51.88 | 17 | 2 2 2 |
| 52.40 | 16 | -1 1 4 |
| 52.50 | 16 | 1 -3 0 |

Theoretical powder diffractogram of Fe3B7BrO13 for CuKα, from a GGA+U-relaxed structure.
Kinematic intensities with the Lorentz-polarization factor, no thermal factor.

Crystal structure
```
data_Fe3B7BrO13
_cell_length_a 12.296
_cell_length_b 12.296
_cell_length_c 12.296
_cell_angle_alpha 90.00
_cell_angle_beta 90.00
_cell_angle_gamma 90.00
_symmetry_space_group_name_H-M 'F -4 3 c'
_symmetry_Int_Tables_number 219
_symmetry_space_group_name_Hall 'F -4a 2 3'
loop_
_atom_site_label
_atom_site_type_symbol
_atom_site_fract_x
_atom_site_fract_y
_atom_site_fract_z
Fe1 Fe 0.000 0.000 0.250
B1 B 0.000 0.250 0.250
B2 B 0.170 0.170 0.330
Br1 Br 0.000 0.000 0.000
O1 O 0.070 0.155 0.272
O2 O 0.250 0.250 0.250
```

Most intense lines, 2θ from 10° to 90°, in order of rising 2θ:
| 2theta | I_rel | h k l |
| --- | --- | --- |
| 29.05 | 100 | 4 0 0 |
| 32.57 | 79 | 4 2 0 |
| 41.55 | 62 | 4 4 0 |
| 43.55 | 23 | 5 3 1 |
| 49.15 | 17 | 6 2 2 |
| 51.49 | 31 | 4 4 4 |
| 53.76 | 16 | 6 4 0 |
| 62.27 | 25 | 8 2 0 |
| 68.22 | 31 | 8 4 0 |
| 75.80 | 28 | 8 4 4 |

Theoretical powder diffractogram of Li2FeP2HO8 for CuKα, from a GGA+U-relaxed structure.
Kinematic intensities with the Lorentz-polarization factor, no thermal factor.

Crystal structure
```
data_Li2FeP2HO8
_cell_length_a 6.177
_cell_length_b 8.603
_cell_length_c 7.550
_cell_angle_alpha 90.00
_cell_angle_beta 121.62
_cell_angle_gamma 90.00
_symmetry_space_group_name_H-M 'P 1 c 1'
_symmetry_Int_Tables_number 7
loop_
_symmetry_equiv_pos_as_xyz
'x,y,z'
'x,-y,z+1/2'
loop_
_atom_site_label
_atom_site_type_symbol
_atom_site_fract_x
_atom_site_fract_y
_atom_site_fract_z
Li1 Li 0.000 0.025 0.000
Li2 Li 0.771 0.181 0.614
Fe1 Fe 0.244 0.332 0.255
P1 P 0.321 0.283 0.704
P2 P 0.715 0.209 0.174
H1 H 0.887 0.306 0.924
O1 O 0.044 0.248 0.977
O2 O 0.097 0.176 0.629
O3 O 0.279 0.451 0.742
O4 O 0.437 0.275 0.563
O5 O 0.545 0.217 0.922
O6 O 0.551 0.230 0.271
O7 O 0.826 0.045 0.208
O8 O 0.911 0.340 0.244
```

Most intense lines, 2θ from 10° to 90°, in order of rising 2θ:
| 2theta | I_rel | h k l |
| --- | --- | --- |
| 16.85 | 23 | 1 0 0 |
| 17.22 | 34 | 0 1 1 |
| 18.36 | 28 | 1 1 -1 |
| 19.78 | 53 | 1 1 0 |
| 20.65 | 100 | 0 2 0 |
| 25.72 | 28 | 1 2 -1 |
| 27.75 | 43 | 0 0 2 |
| 30.62 | 33 | 2 0 -2 |
| 31.01 | 23 | 2 1 -1 |
| 43.51 | 20 | 0 1 3 |